Structure and calculated powder diffractogram of SrLiVPO6 (DFT lattice parameters and positions (PBE+U); Cu Kα X-rays).
Kinematic intensities with the Lorentz-polarization factor, no thermal factor.

Main lines, sorted by position (15° ≤ 2θ ≤ 90°):
(hkl), two_theta, Rel. int.
1 1 -1, 21.17, 23
1 2 0, 23.18, 21
1 0 -2, 26.92, 52
1 0 2, 27.14, 50
1 1 2, 28.36, 33
1 3 0, 29.61, 100
0 3 2, 32.64, 65
2 0 0, 33.24, 18
0 0 4, 43.39, 22
1 3 4, 53.51, 15

Structure:
```
data_SrLiVPO6
_chemical_formula_sum 'Sr4 Li4 V4 P4 O24'
_cell_length_a 5.391
_cell_length_b 10.924
_cell_length_c 8.343
_cell_angle_alpha 90.00
_cell_angle_beta 90.46
_cell_angle_gamma 90.00
_symmetry_space_group_name_H-M 'P 1 21/c 1'
_symmetry_Int_Tables_number 14
loop_
_symmetry_equiv_pos_as_xyz
'x,y,z'
'-x,-y,-z'
'-x,y+1/2,-z+1/2'
'x,-y+1/2,z+1/2'
loop_
_atom_site_label
_atom_site_type_symbol
_atom_site_fract_x
_atom_site_fract_y
_atom_site_fract_z
Sr1 Sr 0.187 0.228 0.119
Li1 Li 0.191 0.515 0.381
V1 V 0.358 0.588 0.083
P1 P 0.316 0.613 0.697
O1 O 0.090 0.603 0.581
O2 O 0.108 0.620 0.204
O3 O 0.219 0.647 0.867
O4 O 0.326 0.078 0.518
O5 O 0.455 0.014 0.197
O6 O 0.496 0.213 0.861
```